Record 1
Theoretical powder diffraction line list
Compound: Co2TePbAu
Radiation: Cu Kα (weighted mean of Kα1 and Kα2)
Structure: DFT lattice parameters and positions (PBE)

The 6 most intense peaks (10 to 90 degrees two-theta), low angle first:
index	2theta	I (rel.)
1 0 1	23.54	100
1 1 0	26.04	82
0 0 2	29.53	80
2 0 0	37.16	88
1 1 2	39.77	56
2 0 2	48.16	84

Cell: 4.840 4.840 6.050 Å, 90.00 90.00 90.00°
Space group P4/mmm (No. 123)
Asymmetric unit:
Co: 0.000 0.500 0.000
Te: 0.000 0.000 0.500
Pb: 0.000 0.000 0.000
Au: 0.500 0.500 0.500

---

Record 2
Theoretical powder diffraction line list
Compound: LaPm6Ho3
Radiation: Cu Kα (weighted mean of Kα1 and Kα2)
Structure: DFT lattice parameters and positions (PBE)

The 6 most intense peaks (10 to 90 degrees two-theta), low angle first:
index	2theta	I (rel.)
1 1 3	28.65	64
3 0 0	31.11	100
1 0 4	31.61	17
2 2 3	42.80	21
4 1 3	53.85	22
3 3 0	55.36	20

Cell: 9.9578 9.9578 11.9869 Å, 90.00 90.00 120.00°
Space group R32 (No. 155, hexagonal axes)
Asymmetric unit:
La: 0.0000 0.0000 0.0000
Pm: 0.0000 0.3302 0.0000
Pm: 0.0000 0.6735 0.5000
Ho: 0.0000 0.0000 0.2543
Ho: 0.0000 0.0000 0.5000

---

Record 3
Theoretical powder diffraction line list
Compound: CaSnAu3
Radiation: Cu Kα (weighted mean of Kα1 and Kα2)
Structure: DFT lattice parameters and positions (PBE)

The 6 most intense peaks (10 to 90 degrees two-theta), low angle first:
index	2theta	I (rel.)
0 0 1	16.17	70
1 1 1	24.25	53
0 0 2	32.67	100
1 2 1	32.91	60
2 1 1	33.09	62
3 1 2	53.42	50

Cell: 6.945 7.028 5.483 Å, 90.00 90.00 90.00°
Space group Pbam (No. 55)
Asymmetric unit:
Ca: 0.000 0.000 0.000
Sn: 0.000 0.500 0.500
Au: 0.000 0.500 0.000
Au: 0.139 0.143 0.500

---

Record 4
Theoretical powder diffraction line list
Compound: Ac2P3Pd6
Radiation: Cu Kα (weighted mean of Kα1 and Kα2)
Structure: DFT lattice parameters and positions (PBE)

The 6 most intense peaks (10 to 90 degrees two-theta), low angle first:
index	2theta	I (rel.)
1 1 1	31.54	100
2 1 0	36.52	23
3 0 0	41.62	30
0 0 2	41.77	22
2 1 1	42.26	41
4 1 1	69.66	28

Cell: 7.5176 7.5176 4.3246 Å, 90.00 90.00 120.00°
Space group P-62m (No. 189)
Asymmetric unit:
Ac: 0.3333 0.6667 0.0000
P: 0.0000 0.3543 0.5000
Pd: 0.0000 0.2098 0.0000
Pd: 0.0000 0.6902 0.5000

---

Record 5
Theoretical powder diffraction line list
Compound: LiCdPb4
Radiation: Cu Kα (weighted mean of Kα1 and Kα2)
Structure: DFT lattice parameters and positions (PBE)

The 6 most intense peaks (10 to 90 degrees two-theta), low angle first:
index	2theta	I (rel.)
0 2 0	20.56	45
1 1 0	27.11	36
1 0 1	29.70	80
0 0 2	31.73	61
0 3 1	34.99	79
1 2 1	36.40	100

Cell: 3.557 8.638 5.640 Å, 90.00 90.00 90.00°
Space group Pmm2 (No. 25)
Asymmetric unit:
Li: 0.000 0.000 0.000
Cd: 0.500 0.500 0.501
Pb: 0.000 0.188 0.500
Pb: 0.500 0.308 0.001

---

Record 6
Theoretical powder diffraction line list
Compound: La3HoN4
Radiation: Cu Kα (weighted mean of Kα1 and Kα2)
Structure: DFT lattice parameters and positions (PBE)

The 6 most intense peaks (10 to 90 degrees two-theta), low angle first:
index	2theta	I (rel.)
1 1 1	29.69	100
2 0 0	34.42	75
2 2 0	49.47	53
3 1 1	58.76	46
3 3 1	80.30	19
4 2 0	82.84	23

Cell: 5.211 5.211 5.211 Å, 90.00 90.00 90.00°
Space group Pm-3m (No. 221)
Asymmetric unit:
La: 0.000 0.000 0.500
Ho: 0.500 0.500 0.500
N: 0.000 0.000 0.000
N: 0.000 0.500 0.500